[1]
For ZrCu2Te3, the PBE geometry in the Materials Project gives the computed PXRD pattern in this record (Cu Ka).
Peak positions follow from Bragg's law for the DFT cell and can differ from measured ones.

Atomic structure:
Unit cell a=20.557 b=4.085 c=7.374 alpha=90.00 beta=98.59 gamma=90.00
Space group C2/m (No. 12)
One atom of each set of equivalent atoms:
Zr (0.146, 0.000, 0.054) x4
Cu (0.049, 0.500, 0.149) x4
Cu (0.214, 0.000, 0.426) x4
Te (0.080, 0.500, 0.820) x4
Te (0.084, 0.000, 0.364) x4
Te (0.250, 0.000, 0.782) x4

Peak list (8 most intense, 10 to 80 degrees two-theta, sorted by position)
(3 1 0), 2θ 25.46, rel. 41; (6 0 0), 2θ 26.31, rel. 64; (3 1 -1), 2θ 27.40, rel. 48; (3 1 1), 2θ 29.15, rel. 100; (7 1 -1), 2θ 38.54, rel. 35; (1 1 -3), 2θ 42.96, rel. 84; (0 2 0), 2θ 44.36, rel. 53; (9 1 -1), 2θ 45.97, rel. 38

[2]
For ThCu2, the PBE geometry in the Materials Project gives the computed PXRD pattern in this record (Cu Ka).
Peak positions follow from Bragg's law for the DFT cell and can differ from measured ones.

Atomic structure:
Unit cell a=4.4003 b=4.4003 c=3.4602 alpha=90.00 beta=90.00 gamma=120.00
Space group P6/mmm (No. 191)
One atom of each set of equivalent atoms:
Th (0.0000, 0.0000, 0.0000) x1
Cu (0.3333, 0.6667, 0.5000) x2

Peak list (8 most intense, 10 to 80 degrees two-theta, sorted by position)
(1 0 0), 2θ 23.34, rel. 38; (1 0 1), 2θ 35.03, rel. 100; (1 1 0), 2θ 41.02, rel. 50; (0 0 2), 2θ 52.92, rel. 8; (2 0 1), 2θ 55.02, rel. 28; (1 1 2), 2θ 69.06, rel. 21; (2 1 1), 2θ 70.87, rel. 26; (3 0 0), 2θ 74.73, rel. 8

[3]
For Ti2Cu, the PBE geometry in the Materials Project gives the computed PXRD pattern in this record (Cu Ka).
Peak positions follow from Bragg's law for the DFT cell and can differ from measured ones.

Atomic structure:
Unit cell a=2.932 b=2.932 c=10.750 alpha=90.00 beta=90.00 gamma=90.00
Space group I4/mmm (No. 139)
One atom of each set of equivalent atoms:
Ti (0.000, 0.000, 0.162) x4
Cu (0.000, 0.000, 0.500) x2

Peak list (8 most intense, 10 to 80 degrees two-theta, sorted by position)
(0 0 2), 2θ 16.49, rel. 5; (1 0 1), 2θ 31.63, rel. 3; (1 0 3), 2θ 39.72, rel. 100; (1 1 0), 2θ 43.65, rel. 38; (0 0 6), 2θ 50.97, rel. 11; (2 0 0), 2θ 63.44, rel. 11; (1 1 6), 2θ 69.31, rel. 16; (2 1 3), 2θ 77.51, rel. 23

[4]
For TiCu, the PBE geometry in the Materials Project gives the computed PXRD pattern in this record (Cu Ka).
Peak positions follow from Bragg's law for the DFT cell and can differ from measured ones.

Atomic structure:
Unit cell a=3.117 b=3.117 c=5.913 alpha=90.00 beta=90.00 gamma=90.00
Space group P4/nmm (No. 129, origin choice 2)
One atom of each set of equivalent atoms:
Ti (0.250, 0.250, 0.144) x2
Cu (0.250, 0.250, 0.611) x2

Peak list (8 most intense, 10 to 80 degrees two-theta, sorted by position)
(0 0 1), 2θ 14.98, rel. 13; (1 1 0), 2θ 40.95, rel. 57; (1 0 2), 2θ 42.13, rel. 100; (1 0 3), 2θ 55.13, rel. 6; (2 0 0), 2θ 59.29, rel. 17; (0 0 4), 2θ 62.87, rel. 6; (2 1 2), 2θ 75.39, rel. 31; (1 1 4), 2θ 77.80, rel. 12

[5]
For TiCu4, the PBE geometry in the Materials Project gives the computed PXRD pattern in this record (Cu Ka).
Peak positions follow from Bragg's law for the DFT cell and can differ from measured ones.

Atomic structure:
Unit cell a=4.498 b=4.336 c=13.032 alpha=90.00 beta=90.00 gamma=90.00
Space group Pnma (No. 62)
One atom of each set of equivalent atoms:
Ti (0.159, 0.250, 0.097) x4
Cu (0.163, 0.250, 0.503) x4
Cu (0.164, 0.250, 0.299) x4
Cu (0.168, 0.250, 0.702) x4
Cu (0.179, 0.250, 0.895) x4

Peak list (8 most intense, 10 to 80 degrees two-theta, sorted by position)
(1 0 5), 2θ 39.98, rel. 24; (2 0 0), 2θ 40.09, rel. 12; (0 2 0), 2θ 41.66, rel. 43; (1 1 5), 2θ 45.33, rel. 100; (2 1 0), 2θ 45.43, rel. 49; (2 2 0), 2θ 59.14, rel. 21; (3 0 5), 2θ 72.76, rel. 14; (1 3 5), 2θ 78.62, rel. 17

[6]
For Ti2Cu, the PBE geometry in the Materials Project gives the computed PXRD pattern in this record (Cu Ka).
Peak positions follow from Bragg's law for the DFT cell and can differ from measured ones.

Atomic structure:
Unit cell a=11.453 b=11.453 c=11.453 alpha=90.00 beta=90.00 gamma=90.00
Space group Fd-3m (No. 227, origin choice 2)
One atom of each set of equivalent atoms:
Ti (0.000, 0.000, 0.000) x16
Ti (0.059, 0.375, 0.875) x48
Cu (0.039, 0.039, 0.211) x32

Peak list (8 most intense, 10 to 80 degrees two-theta, sorted by position)
(1 1 1), 2θ 13.39, rel. 15; (2 2 2), 2θ 26.97, rel. 7; (4 2 2), 2θ 38.51, rel. 26; (3 3 3), 2θ 40.94, rel. 100; (4 4 0), 2θ 44.76, rel. 18; (4 4 2), 2θ 47.64, rel. 14; (6 6 0), 2θ 69.66, rel. 26; (8 4 2), 2θ 76.18, rel. 7

[7]
For TiCu2, the PBE geometry in the Materials Project gives the computed PXRD pattern in this record (Cu Ka).
Peak positions follow from Bragg's law for the DFT cell and can differ from measured ones.

Atomic structure:
Unit cell a=7.986 b=4.512 c=4.464 alpha=90.00 beta=90.00 gamma=90.00
Space group Cmcm (No. 63)
One atom of each set of equivalent atoms:
Ti (0.000, 0.226, 0.250) x4
Cu (0.172, 0.285, 0.750) x8

Peak list (8 most intense, 10 to 80 degrees two-theta, sorted by position)
(0 2 0), 2θ 39.96, rel. 30; (0 0 2), 2θ 40.41, rel. 35; (3 1 1), 2θ 44.42, rel. 100; (0 2 1), 2θ 45.02, rel. 8; (0 2 2), 2θ 58.14, rel. 19; (6 0 0), 2θ 70.79, rel. 6; (3 3 1), 2θ 75.69, rel. 12; (3 1 3), 2θ 76.29, rel. 18

[8]
For TiCu, the PBE geometry in the Materials Project gives the computed PXRD pattern in this record (Cu Ka).
Peak positions follow from Bragg's law for the DFT cell and can differ from measured ones.

Atomic structure:
Unit cell a=3.077 b=3.077 c=3.077 alpha=90.00 beta=90.00 gamma=90.00
Space group Pm-3m (No. 221)
One atom of each set of equivalent atoms:
Ti (0.000, 0.000, 0.000) x1
Cu (0.500, 0.500, 0.500) x1

Peak list (6 most intense, 10 to 80 degrees two-theta, sorted by position)
(1 0 0), 2θ 29.02, rel. 5; (1 1 0), 2θ 41.50, rel. 100; (1 1 1), 2θ 51.43, rel. 1; (2 0 0), 2θ 60.14, rel. 15; (2 1 0), 2θ 68.14, rel. 2; (2 1 1), 2θ 75.71, rel. 29

[9]
For Ti3Cu4, the PBE geometry in the Materials Project gives the computed PXRD pattern in this record (Cu Ka).
Peak positions follow from Bragg's law for the DFT cell and can differ from measured ones.

Atomic structure:
Unit cell a=3.139 b=3.139 c=19.865 alpha=90.00 beta=90.00 gamma=90.00
Space group I4/mmm (No. 139)
One atom of each set of equivalent atoms:
Ti (0.000, 0.000, 0.000) x2
Ti (0.000, 0.000, 0.293) x4
Cu (0.000, 0.000, 0.135) x4
Cu (0.000, 0.000, 0.430) x4

Peak list (8 most intense, 10 to 80 degrees two-theta, sorted by position)
(0 0 4), 2θ 17.86, rel. 6; (1 1 0), 2θ 40.64, rel. 63; (1 0 7), 2θ 42.96, rel. 100; (1 1 4), 2θ 44.72, rel. 3; (1 0 9), 2θ 50.55, rel. 4; (2 0 0), 2θ 58.83, rel. 19; (0 0 14), 2θ 65.82, rel. 5; (2 1 7), 2θ 75.56, rel. 32

[10]
For TiZnCu2, the PBE geometry in the Materials Project gives the computed PXRD pattern in this record (Cu Ka).
Peak positions follow from Bragg's law for the DFT cell and can differ from measured ones.

Atomic structure:
Unit cell a=3.020 b=3.020 c=6.009 alpha=90.00 beta=90.00 gamma=90.00
Space group P4/mmm (No. 123)
One atom of each set of equivalent atoms:
Ti (0.000, 0.000, 0.000) x1
Zn (0.000, 0.000, 0.500) x1
Cu (0.500, 0.500, 0.254) x2

Peak list (8 most intense, 10 to 80 degrees two-theta, sorted by position)
(0 0 1), 2θ 14.74, rel. 3; (1 0 1), 2θ 33.20, rel. 1; (1 1 0), 2θ 42.33, rel. 50; (1 0 2), 2θ 42.44, rel. 100; (2 0 0), 2θ 61.40, rel. 15; (0 0 4), 2θ 61.75, rel. 8; (2 1 2), 2θ 77.49, rel. 29; (1 1 4), 2θ 77.72, rel. 15

[11]
For Tl3Cu, the PBE geometry in the Materials Project gives the computed PXRD pattern in this record (Cu Ka).
Peak positions follow from Bragg's law for the DFT cell and can differ from measured ones.

Atomic structure:
Unit cell a=4.717 b=4.717 c=4.717 alpha=90.00 beta=90.00 gamma=90.00
Space group Pm-3m (No. 221)
One atom of each set of equivalent atoms:
Tl (0.000, 0.000, 0.500) x3
Cu (0.500, 0.500, 0.500) x1

Peak list (8 most intense, 10 to 80 degrees two-theta, sorted by position)
(1 0 0), 2θ 18.81, rel. 11; (1 1 0), 2θ 26.73, rel. 9; (1 1 1), 2θ 32.89, rel. 100; (2 0 0), 2θ 38.16, rel. 50; (2 1 0), 2θ 42.87, rel. 6; (2 2 0), 2θ 55.07, rel. 35; (3 1 1), 2θ 65.65, rel. 42; (2 2 2), 2θ 68.96, rel. 12